Record 1
Structure and computed powder diffraction line list of BaHBr (the GGA-PBE geometry in the Materials Project; Cu Kα).
No peak broadening, texture or thermal motion is included.

Atomic structure:
Lattice parameters (Å, degrees): 4.586 4.586 7.464 90.00 90.00 90.00
Space group P4/nmm (No. 129, origin choice 2)
One atom of each set of equivalent atoms:
Ba 0.250 0.250 0.193 (multiplicity 2)
H 0.250 0.750 0.000 (multiplicity 2)
Br 0.250 0.250 0.659 (multiplicity 2)

Top 10 peaks for 2θ = 10–80°, by intensity:
2θ (°)	I (rel.)	h k l
27.5	100	1 1 0
30.9	85	1 0 2
50.8	41	2 1 2
39.3	39	2 0 0
36.7	37	1 1 2
23.8	28	0 0 2
53.0	26	1 0 4
67.9	25	2 1 4
22.8	20	1 0 1
46.5	18	2 0 2

Record 2
Structure and computed powder diffraction line list of YB12 (the GGA-PBE geometry in the Materials Project; Cu Kα).
No peak broadening, texture or thermal motion is included.

Atomic structure:
Lattice parameters (Å, degrees): 7.501 7.501 7.501 90.00 90.00 90.00
Space group Fm-3m (No. 225)
One atom of each set of equivalent atoms:
Y 0.000 0.000 0.000 (multiplicity 4)
B 0.000 0.169 0.331 (multiplicity 48)

Top 10 peaks for 2θ = 10–80°, by intensity:
2θ (°)	I (rel.)	h k l
39.9	100	3 1 1
23.7	63	2 0 0
20.5	59	1 1 1
41.7	30	2 2 2
74.9	29	5 3 1
60.5	27	4 2 2
53.2	27	3 3 1
33.8	27	2 2 0
76.1	21	6 0 0
54.7	15	4 2 0

Record 3
Structure and computed powder diffraction line list of MgNb4N4O4 (the GGA-PBE geometry in the Materials Project; Cu Kα).
No peak broadening, texture or thermal motion is included.

Atomic structure:
Lattice parameters (Å, degrees): 4.195 6.706 6.838 105.08 104.32 91.28
Space group P-1 (No. 2)
One atom of each set of equivalent atoms:
Mg 0.000 0.000 0.000 (multiplicity 1)
Nb 0.299 0.655 0.084 (multiplicity 2)
Nb 0.480 0.284 0.304 (multiplicity 2)
N 0.130 0.728 0.781 (multiplicity 2)
N 0.250 0.320 0.988 (multiplicity 2)
O 0.370 0.986 0.234 (multiplicity 2)
O 0.433 0.625 0.379 (multiplicity 2)

Top 10 peaks for 2θ = 10–80°, by intensity:
2θ (°)	I (rel.)	h k l
27.6	100	0 1 -2
22.0	98	1 0 0
13.9	88	0 0 1
13.7	72	0 1 0
33.9	52	1 -2 0
22.7	49	1 0 -1
27.1	46	1 1 0
30.8	45	1 0 -2
42.0	44	0 3 0
34.8	35	1 1 1

Record 4
Structure and computed powder diffraction line list of NaCaMgAlSi4O12 (the GGA-PBE geometry in the Materials Project; Cu Kα).
No peak broadening, texture or thermal motion is included.

Atomic structure:
Lattice parameters (Å, degrees): 9.371 7.844 7.648 90.00 106.75 90.00
Space group Pc (No. 7)
One atom of each set of equivalent atoms:
Na 0.000 0.207 0.000 (multiplicity 2)
Ca 0.133 0.151 0.608 (multiplicity 2)
Mg 0.719 0.125 0.192 (multiplicity 2)
Al 0.363 0.112 0.054 (multiplicity 2)
Si 0.491 0.378 0.372 (multiplicity 2)
Si 0.510 0.224 0.769 (multiplicity 2)
Si 0.768 0.212 0.601 (multiplicity 2)
Si 0.939 0.453 0.302 (multiplicity 2)
O 0.053 0.446 0.498 (multiplicity 2)
O 0.178 0.086 0.913 (multiplicity 2)
O 0.376 0.080 0.684 (multiplicity 2)
O 0.376 0.294 0.197 (multiplicity 2)
O 0.459 0.330 0.560 (multiplicity 2)
O 0.525 0.419 0.871 (multiplicity 2)
O 0.535 0.131 0.988 (multiplicity 2)
O 0.666 0.283 0.400 (multiplicity 2)
O 0.675 0.140 0.740 (multiplicity 2)
O 0.872 0.061 0.567 (multiplicity 2)
O 0.874 0.363 0.730 (multiplicity 2)
O 0.876 0.291 0.187 (multiplicity 2)

Top 10 peaks for 2θ = 10–80°, by intensity:
2θ (°)	I (rel.)	h k l
22.8	100	2 1 0
26.9	78	0 1 2
31.0	77	3 1 -1
25.8	66	0 2 1
26.6	58	2 0 -2
26.3	45	1 2 -1
19.8	44	2 0 0
16.6	38	0 1 1
11.3	35	0 1 0
28.5	35	2 1 1

Record 5
Structure and computed powder diffraction line list of Cu14I19 (the GGA-PBE geometry in the Materials Project; Cu Kα).
No peak broadening, texture or thermal motion is included.

Atomic structure:
Lattice parameters (Å, degrees): 7.303 4.243 67.359 90.00 91.76 90.00
Space group Cm (No. 8)
One atom of each set of equivalent atoms:
Cu 0.000 0.000 0.000 (multiplicity 2)
Cu 0.002 0.500 0.580 (multiplicity 2)
Cu 0.053 0.000 0.158 (multiplicity 2)
Cu 0.079 0.500 0.735 (multiplicity 2)
Cu 0.104 0.000 0.317 (multiplicity 2)
Cu 0.132 0.500 0.895 (multiplicity 2)
Cu 0.184 0.500 0.053 (multiplicity 2)
Cu 0.237 0.500 0.211 (multiplicity 2)
Cu 0.263 0.000 0.789 (multiplicity 2)
Cu 0.316 0.000 0.947 (multiplicity 2)
Cu 0.369 0.000 0.105 (multiplicity 2)
Cu 0.420 0.000 0.263 (multiplicity 2)
Cu 0.448 0.500 0.842 (multiplicity 2)
Cu 0.449 0.000 0.423 (multiplicity 2)
I 0.038 0.000 0.119 (multiplicity 2)
I 0.049 0.500 0.698 (multiplicity 2)
I 0.089 0.000 0.277 (multiplicity 2)
I 0.116 0.500 0.856 (multiplicity 2)
I 0.118 0.000 0.438 (multiplicity 2)
I 0.169 0.500 0.014 (multiplicity 2)
I 0.171 0.000 0.596 (multiplicity 2)
I 0.222 0.500 0.171 (multiplicity 2)
I 0.246 0.000 0.751 (multiplicity 2)
I 0.273 0.500 0.329 (multiplicity 2)
I 0.300 0.000 0.908 (multiplicity 2)
I 0.304 0.500 0.489 (multiplicity 2)
I 0.353 0.000 0.066 (multiplicity 2)
I 0.357 0.500 0.646 (multiplicity 2)
I 0.406 0.000 0.224 (multiplicity 2)
I 0.432 0.500 0.803 (multiplicity 2)
I 0.440 0.000 0.386 (multiplicity 2)
I 0.485 0.500 0.961 (multiplicity 2)
I 0.492 0.000 0.543 (multiplicity 2)

Top 10 peaks for 2θ = 10–80°, by intensity:
2θ (°)	I (rel.)	h k l
25.7	100	1 1 6
25.8	53	2 0 -7
25.1	46	0 0 19
41.9	44	1 1 25
42.8	42	3 1 -1
42.6	22	0 2 0
29.6	20	1 1 -13
42.2	20	2 0 -26
49.6	19	1 1 -32
50.5	16	2 2 -7

Record 6
Structure and computed powder diffraction line list of Cu4H10SO12 (the GGA-PBE geometry in the Materials Project; Cu Kα).
No peak broadening, texture or thermal motion is included.

Atomic structure:
Lattice parameters (Å, degrees): 7.631 6.021 11.587 90.00 90.83 90.00
Space group Pc (No. 7)
One atom of each set of equivalent atoms:
Cu 0.000 0.001 0.000 (multiplicity 2)
Cu 0.001 0.265 0.747 (multiplicity 2)
Cu 0.001 0.498 0.501 (multiplicity 2)
Cu 0.998 0.248 0.252 (multiplicity 2)
H 0.234 0.005 0.349 (multiplicity 2)
H 0.243 0.377 0.122 (multiplicity 2)
H 0.247 0.496 0.836 (multiplicity 2)
H 0.263 0.244 0.524 (multiplicity 2)
H 0.494 0.265 0.777 (multiplicity 2)
H 0.527 0.484 0.710 (multiplicity 2)
H 0.654 0.153 0.418 (multiplicity 2)
H 0.665 0.392 0.368 (multiplicity 2)
H 0.746 0.269 0.961 (multiplicity 2)
H 0.766 0.003 0.162 (multiplicity 2)
S 0.464 0.165 0.077 (multiplicity 2)
O 0.106 0.002 0.841 (multiplicity 2)
O 0.118 0.494 0.343 (multiplicity 2)
O 0.146 0.251 0.557 (multiplicity 2)
O 0.256 0.223 0.094 (multiplicity 2)
O 0.464 0.039 0.968 (multiplicity 2)
O 0.487 0.427 0.785 (multiplicity 2)
O 0.516 0.032 0.177 (multiplicity 2)
O 0.549 0.382 0.070 (multiplicity 2)
O 0.739 0.265 0.393 (multiplicity 2)
O 0.868 0.254 0.937 (multiplicity 2)
O 0.896 0.006 0.659 (multiplicity 2)
O 0.921 0.485 0.157 (multiplicity 2)

Top 10 peaks for 2θ = 10–80°, by intensity:
2θ (°)	I (rel.)	h k l
11.6	100	1 0 0
23.3	41	2 0 0
35.7	28	1 2 2
41.4	17	2 2 2
32.9	16	1 0 -4
38.8	13	2 0 -4
49.7	11	3 2 2
33.5	11	0 2 2
56.6	9	0 2 6
30.9	7	0 0 4